Entry 1:
Calculated X-ray powder pattern
Compound: Cs3B6H12Se4Br
Radiation: Cu Kα
Structure: the GGA-PBE geometry in the Materials Project
Lines closer than 0.1° are merged.

Crystal structure
```
Cs3B6H12Se4Br
1.0
11.0150 0.0000 0.0000
-5.5075 9.5393 0.0000
0.0000 0.0000 9.0403
Cs B H Se Br
6 12 24 8 2
Direct
0.1533 0.3067 0.0000 Cs
0.1533 0.8467 0.0000 Cs
0.3067 0.1533 0.5000 Cs
0.6933 0.8467 0.0000 Cs
0.8467 0.1533 0.5000 Cs
0.8467 0.6933 0.5000 Cs
0.1353 0.5677 0.3331 B
0.2332 0.4664 0.6382 B
0.2332 0.7668 0.6382 B
0.4323 0.5677 0.3331 B
0.4323 0.8647 0.3331 B
0.4664 0.2332 0.1382 B
0.5336 0.7668 0.6382 B
0.5677 0.1353 0.8331 B
0.5677 0.4323 0.8331 B
0.7668 0.2332 0.1382 B
0.7668 0.5336 0.1382 B
0.8647 0.4323 0.8331 B
0.0131 0.5065 0.3703 H
0.1124 0.4096 0.6792 H
0.1124 0.7029 0.6792 H
0.1552 0.5776 0.2008 H
0.2971 0.4096 0.6792 H
0.2971 0.8876 0.6792 H
0.4096 0.1124 0.1792 H
0.4096 0.2971 0.1792 H
0.4224 0.5776 0.2008 H
0.4224 0.8448 0.2008 H
0.4935 0.5065 0.3703 H
0.4935 0.9869 0.3703 H
0.5065 0.0131 0.8703 H
0.5065 0.4935 0.8703 H
0.5776 0.1552 0.7008 H
0.5776 0.4224 0.7008 H
0.5904 0.7029 0.6792 H
0.5904 0.8876 0.6792 H
0.7029 0.1124 0.1792 H
0.7029 0.5904 0.1792 H
0.8448 0.4224 0.7008 H
0.8876 0.2971 0.1792 H
0.8876 0.5904 0.1792 H
0.9869 0.4935 0.8703 H
0.2282 0.4564 0.4100 Se
0.2282 0.7718 0.4100 Se
0.3333 0.6667 0.7276 Se
0.4564 0.2282 0.9100 Se
0.5436 0.7718 0.4100 Se
0.6667 0.3333 0.2276 Se
0.7718 0.2282 0.9100 Se
0.7718 0.5436 0.9100 Se
0.0000 0.0000 0.2456 Br
0.0000 0.0000 0.7456 Br
```

Principal peaks in the range 2θ from 10° to 90°, low angle first:
2theta, I/Imax
21.06, 100
25.49, 62
26.62, 54
27.18, 53
29.79, 53
32.51, 50
34.49, 48
51.69, 45



Entry 2:
Calculated X-ray powder pattern
Compound: Ba3Np
Radiation: Cu Kα
Structure: the GGA-PBE geometry in the Materials Project
Lines closer than 0.1° are merged.

Crystal structure
```
Ba3Np
1.0
9.6321 0.0000 0.0000
0.0000 9.6321 0.0000
0.0000 0.0000 9.6321
Ba Np
12 4
Direct
0.0000 0.0000 0.0000 Ba
0.0000 0.5000 0.5000 Ba
0.2500 0.2500 0.2500 Ba
0.2500 0.2500 0.7500 Ba
0.2500 0.7500 0.2500 Ba
0.2500 0.7500 0.7500 Ba
0.5000 0.0000 0.5000 Ba
0.5000 0.5000 0.0000 Ba
0.7500 0.2500 0.2500 Ba
0.7500 0.2500 0.7500 Ba
0.7500 0.7500 0.2500 Ba
0.7500 0.7500 0.7500 Ba
0.0000 0.0000 0.5000 Np
0.0000 0.5000 0.0000 Np
0.5000 0.0000 0.0000 Np
0.5000 0.5000 0.5000 Np
```

Principal peaks in the range 2θ from 10° to 90°, low angle first:
2theta, I/Imax
15.94, 5
26.17, 100
37.34, 20
46.17, 43
53.84, 14
60.82, 19
73.59, 22
85.55, 12



Entry 3:
Calculated X-ray powder pattern
Compound: In2AgS3Cl
Radiation: Cu Kα
Structure: the GGA-PBE geometry in the Materials Project
Lines closer than 0.1° are merged.

Crystal structure
```
In2AgS3Cl
1.0
3.9384 2.2738 6.2787
-3.9384 2.2738 6.2787
0.0000 -4.5477 6.2787
In Ag S Cl
4 2 6 2
Direct
0.0000 0.0000 0.0000 In
0.0000 0.0000 0.5000 In
0.0000 0.5000 0.0000 In
0.5000 0.0000 0.0000 In
0.4143 0.4143 0.4143 Ag
0.5857 0.5857 0.5857 Ag
0.2108 0.7586 0.7586 S
0.2414 0.2414 0.7892 S
0.2414 0.7892 0.2414 S
0.7586 0.2108 0.7586 S
0.7586 0.7586 0.2108 S
0.7892 0.2414 0.2414 S
0.2535 0.2535 0.2535 Cl
0.7465 0.7465 0.7465 Cl
```

Principal peaks in the range 2θ from 10° to 90°, low angle first:
2theta, I/Imax
14.11, 42
26.56, 81
26.72, 60
27.04, 66
32.41, 100
42.49, 55
46.09, 86
48.93, 40



Entry 4:
Calculated X-ray powder pattern
Compound: Ba2MoN3
Radiation: Cu Kα
Structure: the GGA-PBE geometry in the Materials Project
Lines closer than 0.1° are merged.

Crystal structure
```
Ba2MoN3
1.0
3.0530 -5.9403 0.0000
3.0530 5.9403 0.0000
-0.0017 0.0000 13.3912
Ba Mo N
8 4 12
Direct
0.0622 0.4375 0.8648 Ba
0.1406 0.3582 0.4144 Ba
0.3582 0.1406 0.9144 Ba
0.4375 0.0622 0.3648 Ba
0.5625 0.9378 0.6352 Ba
0.6418 0.8594 0.0856 Ba
0.8594 0.6418 0.5856 Ba
0.9378 0.5625 0.1352 Ba
0.2406 0.2601 0.6621 Mo
0.2601 0.2406 0.1621 Mo
0.7399 0.7594 0.8379 Mo
0.7594 0.7399 0.3379 Mo
0.0169 0.9831 0.7500 N
0.0915 0.4131 0.6249 N
0.1591 0.3388 0.0522 N
0.3388 0.1591 0.5522 N
0.4131 0.0915 0.1249 N
0.4814 0.5187 0.2500 N
0.5187 0.4814 0.7500 N
0.5869 0.9085 0.8751 N
0.6612 0.8409 0.4478 N
0.8409 0.6612 0.9478 N
0.9085 0.5869 0.3751 N
0.9831 0.0169 0.2500 N
```

Principal peaks in the range 2θ from 10° to 90°, low angle first:
2theta, I/Imax
25.84, 15
26.63, 37
27.66, 35
29.25, 63
30.02, 100
31.39, 29
39.97, 30
52.36, 21



Entry 5:
Calculated X-ray powder pattern
Compound: RbP
Radiation: Cu Kα
Structure: the GGA-PBE geometry in the Materials Project
Lines closer than 0.1° are merged.

Crystal structure
```
RbP
1.0
8.6088 0.0000 0.0000
0.0000 4.8913 0.0000
-2.9133 0.0000 4.1454
Rb P
2 2
Direct
0.0000 0.0000 0.0000 Rb
0.5000 0.5000 0.0000 Rb
0.0000 0.5000 0.5000 P
0.5000 0.0000 0.5000 P
```

Principal peaks in the range 2θ from 10° to 90°, low angle first:
2theta, I/Imax
22.13, 19
25.30, 100
35.44, 13
35.87, 26
36.30, 25
36.75, 12
45.14, 13
51.96, 13



Entry 6:
Calculated X-ray powder pattern
Compound: PmCu2Si
Radiation: Cu Kα
Structure: the GGA-PBE geometry in the Materials Project
Lines closer than 0.1° are merged.

Crystal structure
```
PmCu2Si
1.0
6.4583 0.0000 0.0000
0.0000 6.4583 0.0000
0.0000 0.0000 6.4583
Pm Cu Si
4 8 4
Direct
0.0000 0.0000 0.0000 Pm
0.0000 0.5000 0.5000 Pm
0.5000 0.0000 0.5000 Pm
0.5000 0.5000 0.0000 Pm
0.2500 0.2500 0.2500 Cu
0.2500 0.2500 0.7500 Cu
0.2500 0.7500 0.2500 Cu
0.2500 0.7500 0.7500 Cu
0.7500 0.2500 0.2500 Cu
0.7500 0.2500 0.7500 Cu
0.7500 0.7500 0.2500 Cu
0.7500 0.7500 0.7500 Cu
0.0000 0.0000 0.5000 Si
0.0000 0.5000 0.0000 Si
0.5000 0.0000 0.0000 Si
0.5000 0.5000 0.5000 Si
```

Principal peaks in the range 2θ from 10° to 90°, low angle first:
2theta, I/Imax
23.86, 35
39.46, 100
46.64, 18
57.04, 16
62.71, 7
71.58, 33
84.95, 10
89.85, 6



Entry 7:
Calculated X-ray powder pattern
Compound: Rb2NdI5
Radiation: Cu Kα
Structure: the GGA-PBE geometry in the Materials Project
Lines closer than 0.1° are merged.

Crystal structure
```
Rb2NdI5
1.0
15.1344 0.0000 0.0000
0.0000 10.0274 0.0000
0.0000 0.0000 9.4935
Rb Nd I
8 4 20
Direct
0.1731 0.0037 0.0554 Rb
0.1731 0.4963 0.0554 Rb
0.3269 0.5037 0.5554 Rb
0.3269 0.9963 0.5554 Rb
0.6731 0.0037 0.4446 Rb
0.6731 0.4963 0.4446 Rb
0.8269 0.5037 0.9446 Rb
0.8269 0.9963 0.9446 Rb
0.0044 0.2500 0.5776 Nd
0.4956 0.7500 0.0776 Nd
0.5044 0.2500 0.9224 Nd
0.9956 0.7500 0.4224 Nd
0.0099 0.2500 0.9175 I
0.0734 0.5444 0.6626 I
0.0734 0.9556 0.6626 I
0.1744 0.2500 0.3781 I
0.1992 0.7500 0.3415 I
0.3008 0.2500 0.8415 I
0.3256 0.7500 0.8781 I
0.4266 0.0444 0.1626 I
0.4266 0.4556 0.1626 I
0.4901 0.7500 0.4175 I
0.5099 0.2500 0.5825 I
0.5734 0.5444 0.8374 I
0.5734 0.9556 0.8374 I
0.6744 0.2500 0.1219 I
0.6992 0.7500 0.1585 I
0.8008 0.2500 0.6585 I
0.8256 0.7500 0.6219 I
0.9266 0.0444 0.3374 I
0.9266 0.4556 0.3374 I
0.9901 0.7500 0.0825 I
```

Principal peaks in the range 2θ from 10° to 90°, low angle first:
2theta, I/Imax
23.25, 40
25.34, 74
26.52, 100
26.77, 56
28.45, 51
29.58, 41
31.93, 35
35.82, 52



Entry 8:
Calculated X-ray powder pattern
Compound: CsY
Radiation: Cu Kα
Structure: the GGA-PBE geometry in the Materials Project
Lines closer than 0.1° are merged.

Crystal structure
```
CsY
1.0
3.8434 0.0000 0.0000
-1.9217 3.3285 0.0000
0.0000 0.0000 7.5105
Cs Y
1 1
Direct
0.0000 0.0000 0.0000 Cs
0.6667 0.3333 0.5000 Y
```

Principal peaks in the range 2θ from 10° to 90°, low angle first:
2theta, I/Imax
23.69, 38
26.78, 23
29.35, 100
36.06, 21
45.33, 30
47.30, 17
53.57, 24
56.65, 15